(1)
SmHgB4: calculated powder diffractogram (Cu Kα (weighted mean of Kα1 and Kα2)), based on a crystal structure in OQMD, relaxed with PBE.

```
data_SmHgB4
_space_group_name_H-M_alt 'P 1'
_space_group_IT_number 1
_space_group_name_Hall 'P 1'
_cell_length_a 5.3098
_cell_length_b 5.3098
_cell_length_c 5.3098
_cell_angle_alpha 144.68
_cell_angle_beta 119.37
_cell_angle_gamma 72.16
loop_
_atom_site_label
_atom_site_fract_x
_atom_site_fract_y
_atom_site_fract_z
_atom_site_occupancy
Sm1 0.0000 0.0000 0.0000 1
Hg1 0.5000 0.5000 0.0000 1
B1 0.0525 0.7352 0.3173 1
B2 0.4179 0.7352 0.6827 1
B3 0.5821 0.2648 0.3173 1
B4 0.9475 0.2648 0.6827 1
```

Top 6 peaks for 10° ≤ 2θ ≤ 80°, low angle first:
d (Å)	intensity
4.291	89
2.762	69
2.680	31
2.322	100
2.273	49
1.694	34


(2)
Cs2ZrAg2Se2S2: calculated powder diffractogram (Cu Kα (weighted mean of Kα1 and Kα2)), based on a crystal structure in OQMD, relaxed with PBE.

```
data_Cs2ZrAg2Se2S2
_space_group_name_H-M_alt 'P 1'
_space_group_IT_number 1
_space_group_name_Hall 'P 1'
_cell_length_a 7.8885
_cell_length_b 7.8885
_cell_length_c 6.2781
_cell_angle_alpha 90.26
_cell_angle_beta 90.26
_cell_angle_gamma 47.03
loop_
_atom_site_label
_atom_site_fract_x
_atom_site_fract_y
_atom_site_fract_z
_atom_site_occupancy
Cs1 0.2500 0.2500 0.2347 1
Cs2 0.7500 0.7500 0.7653 1
Zr1 0.7486 0.2514 0.5000 1
Ag1 0.2446 0.7554 0.5000 1
Ag2 0.7600 0.2400 0.0000 1
Se1 0.4093 0.3791 0.7312 1
Se2 0.6209 0.5907 0.2688 1
S1 0.0682 0.1269 0.7239 1
S2 0.8731 0.9318 0.2761 1
```

Top 6 peaks for 10° ≤ 2θ ≤ 80°, low angle first:
d (Å)	intensity
4.250	25
3.268	100
2.886	60
2.223	47
1.915	37
1.840	26


(3)
Ho3Se2NO: calculated powder diffractogram (Cu Kα (weighted mean of Kα1 and Kα2)), based on a crystal structure in OQMD, relaxed with PBE.

```
data_Ho3Se2NO
_space_group_name_H-M_alt 'P 1'
_space_group_IT_number 1
_space_group_name_Hall 'P 1'
_cell_length_a 7.9424
_cell_length_b 7.9424
_cell_length_c 9.6247
_cell_angle_alpha 97.14
_cell_angle_beta 97.14
_cell_angle_gamma 28.25
loop_
_atom_site_label
_atom_site_fract_x
_atom_site_fract_y
_atom_site_fract_z
_atom_site_occupancy
Ho1 0.0441 0.0441 0.2602 1
Ho2 0.1970 0.1970 0.6746 1
Ho3 0.3921 0.3921 0.0553 1
Ho4 0.6079 0.6079 0.9447 1
Ho5 0.8030 0.8030 0.3254 1
Ho6 0.9559 0.9559 0.7398 1
Se1 0.2123 0.2123 0.1501 1
Se2 0.3717 0.3717 0.5266 1
Se3 0.6283 0.6283 0.4734 1
Se4 0.7877 0.7877 0.8499 1
N1 0.0975 0.0975 0.8117 1
N2 0.9025 0.9025 0.1883 1
O1 0.4643 0.4643 0.8605 1
O2 0.5357 0.5357 0.1395 1
```

Top 6 peaks for 10° ≤ 2θ ≤ 80°, low angle first:
d (Å)	intensity
3.188	50
2.908	100
2.400	32
2.199	16
1.963	31
1.938	19


(4)
TbTe3PdPb: calculated powder diffractogram (Cu Kα (weighted mean of Kα1 and Kα2)), based on a crystal structure in OQMD, relaxed with PBE.

```
data_TbTe3PdPb
_space_group_name_H-M_alt 'P 1'
_space_group_IT_number 1
_space_group_name_Hall 'P 1'
_cell_length_a 8.4778
_cell_length_b 4.2253
_cell_length_c 10.7027
_cell_angle_alpha 90.00
_cell_angle_beta 107.38
_cell_angle_gamma 90.00
loop_
_atom_site_label
_atom_site_fract_x
_atom_site_fract_y
_atom_site_fract_z
_atom_site_occupancy
Tb1 0.1961 0.2500 0.1720 1
Tb2 0.8039 0.7500 0.8280 1
Te1 0.0819 0.2500 0.8645 1
Te2 0.2455 0.2500 0.4655 1
Te3 0.4507 0.7500 0.1565 1
Te4 0.5493 0.2500 0.8435 1
Te5 0.7545 0.7500 0.5345 1
Te6 0.9181 0.7500 0.1355 1
Pd1 0.4101 0.7500 0.4052 1
Pd2 0.5899 0.2500 0.5948 1
Pb1 0.2589 0.7500 0.7098 1
Pb2 0.7411 0.2500 0.2902 1
```

Top 6 peaks for 10° ≤ 2θ ≤ 80°, low angle first:
d (Å)	intensity
3.405	23
2.985	100
2.922	51
2.713	56
2.662	44
2.112	53


(5)
HgTe2O4: calculated powder diffractogram (Cu Kα (weighted mean of Kα1 and Kα2)), based on a crystal structure in OQMD, relaxed with PBE.

```
data_HgTe2O4
_space_group_name_H-M_alt 'P 1'
_space_group_IT_number 1
_space_group_name_Hall 'P 1'
_cell_length_a 6.9793
_cell_length_b 6.9793
_cell_length_c 6.9793
_cell_angle_alpha 60.00
_cell_angle_beta 60.00
_cell_angle_gamma 60.00
loop_
_atom_site_label
_atom_site_fract_x
_atom_site_fract_y
_atom_site_fract_z
_atom_site_occupancy
Hg1 0.1250 0.1250 0.1250 1
Hg2 0.8750 0.8750 0.8750 1
Te1 0.0000 0.5000 0.5000 1
Te2 0.5000 0.0000 0.5000 1
Te3 0.5000 0.5000 0.0000 1
Te4 0.5000 0.5000 0.5000 1
O1 0.2697 0.2697 0.2697 1
O2 0.2697 0.2697 0.6910 1
O3 0.2697 0.6910 0.2697 1
O4 0.3090 0.7303 0.7303 1
O5 0.6910 0.2697 0.2697 1
O6 0.7303 0.3090 0.7303 1
O7 0.7303 0.7303 0.3090 1
O8 0.7303 0.7303 0.7303 1
```

Top 6 peaks for 10° ≤ 2θ ≤ 80°, low angle first:
d (Å)	intensity
3.490	46
2.976	100
2.015	19
1.900	42
1.745	38
1.285	23


(6)
Li4Al2CuPt: calculated powder diffractogram (Cu Kα (weighted mean of Kα1 and Kα2)), based on a crystal structure in OQMD, relaxed with PBE.

```
data_Li4Al2CuPt
_space_group_name_H-M_alt 'P 1'
_space_group_IT_number 1
_space_group_name_Hall 'P 1'
_cell_length_a 4.2613
_cell_length_b 4.2613
_cell_length_c 5.9905
_cell_angle_alpha 90.00
_cell_angle_beta 90.00
_cell_angle_gamma 90.00
loop_
_atom_site_label
_atom_site_fract_x
_atom_site_fract_y
_atom_site_fract_z
_atom_site_occupancy
Li1 0.0000 0.0000 0.0000 1
Li2 0.0000 0.5000 0.7441 1
Li3 0.5000 0.0000 0.2559 1
Li4 0.5000 0.5000 0.5000 1
Al1 0.0000 0.5000 0.2424 1
Al2 0.5000 0.0000 0.7576 1
Cu1 0.0000 0.0000 0.5000 1
Pt1 0.5000 0.5000 0.0000 1
```

Top 6 peaks for 10° ≤ 2θ ≤ 80°, low angle first:
d (Å)	intensity
5.991	21
3.472	100
3.013	23
2.131	23
2.124	45
1.816	32


(7)
ScCo5P3: calculated powder diffractogram (Cu Kα (weighted mean of Kα1 and Kα2)), based on a crystal structure in OQMD, relaxed with PBE.

```
data_ScCo5P3
_space_group_name_H-M_alt 'P 1'
_space_group_IT_number 1
_space_group_name_Hall 'P 1'
_cell_length_a 11.5739
_cell_length_b 3.5671
_cell_length_c 10.1233
_cell_angle_alpha 90.00
_cell_angle_beta 90.00
_cell_angle_gamma 90.00
loop_
_atom_site_label
_atom_site_fract_x
_atom_site_fract_y
_atom_site_fract_z
_atom_site_occupancy
Sc1 0.2029 0.2500 0.0819 1
Sc2 0.2971 0.7500 0.5819 1
Sc3 0.7029 0.2500 0.4181 1
Sc4 0.7971 0.7500 0.9181 1
Co1 0.0080 0.7500 0.7187 1
Co2 0.0145 0.7500 0.0917 1
Co3 0.0691 0.7500 0.4664 1
Co4 0.1769 0.2500 0.7786 1
Co5 0.1997 0.2500 0.3833 1
Co6 0.3003 0.7500 0.8833 1
Co7 0.3231 0.7500 0.2786 1
Co8 0.4309 0.2500 0.9664 1
Co9 0.4855 0.2500 0.5917 1
Co10 0.4920 0.2500 0.2187 1
Co11 0.5080 0.7500 0.7813 1
Co12 0.5145 0.7500 0.4083 1
Co13 0.5691 0.7500 0.0336 1
Co14 0.6769 0.2500 0.7214 1
Co15 0.6997 0.2500 0.1167 1
Co16 0.8003 0.7500 0.6167 1
Co17 0.8231 0.7500 0.2214 1
Co18 0.9309 0.2500 0.5336 1
Co19 0.9855 0.2500 0.9083 1
Co20 0.9920 0.2500 0.2813 1
P1 0.1106 0.7500 0.9017 1
P2 0.1148 0.2500 0.5816 1
P3 0.1309 0.7500 0.2656 1
P4 0.3691 0.2500 0.7656 1
P5 0.3852 0.7500 0.0816 1
P6 0.3894 0.2500 0.4017 1
P7 0.6106 0.7500 0.5983 1
P8 0.6148 0.2500 0.9184 1
P9 0.6309 0.7500 0.2344 1
P10 0.8691 0.2500 0.7344 1
P11 0.8852 0.7500 0.4184 1
P12 0.8894 0.2500 0.0983 1
```

Top 6 peaks for 10° ≤ 2θ ≤ 80°, low angle first:
d (Å)	intensity
2.257	100
2.247	51
2.195	18
1.813	26
1.784	36
1.675	20


(8)
CuHgB4: calculated powder diffractogram (Cu Kα (weighted mean of Kα1 and Kα2)), based on a crystal structure in OQMD, relaxed with PBE.

```
data_CuHgB4
_space_group_name_H-M_alt 'P 1'
_space_group_IT_number 1
_space_group_name_Hall 'P 1'
_cell_length_a 2.9756
_cell_length_b 2.9756
_cell_length_c 9.0674
_cell_angle_alpha 90.00
_cell_angle_beta 90.00
_cell_angle_gamma 120.00
loop_
_atom_site_label
_atom_site_fract_x
_atom_site_fract_y
_atom_site_fract_z
_atom_site_occupancy
Cu1 0.0000 0.0000 0.0000 1
Hg1 0.0000 0.0000 0.5000 1
B1 0.3333 0.6667 0.1750 1
B2 0.3333 0.6667 0.8250 1
B3 0.6667 0.3333 0.1750 1
B4 0.6667 0.3333 0.8250 1
```

Top 6 peaks for 10° ≤ 2θ ≤ 80°, low angle first:
d (Å)	intensity
4.534	79
2.577	62
2.479	33
2.240	100
1.702	41
1.414	19


(9)
ScGa5Fe3: calculated powder diffractogram (Cu Kα (weighted mean of Kα1 and Kα2)), based on a crystal structure in OQMD, relaxed with PBE.

```
data_ScGa5Fe3
_space_group_name_H-M_alt 'P 1'
_space_group_IT_number 1
_space_group_name_Hall 'P 1'
_cell_length_a 5.8122
_cell_length_b 5.8435
_cell_length_c 5.8368
_cell_angle_alpha 90.00
_cell_angle_beta 90.75
_cell_angle_gamma 90.00
loop_
_atom_site_label
_atom_site_fract_x
_atom_site_fract_y
_atom_site_fract_z
_atom_site_occupancy
Sc1 0.0000 0.0000 0.0000 1
Ga1 0.2559 0.2606 0.7421 1
Ga2 0.2636 0.7403 0.2618 1
Ga3 0.5000 0.4905 0.5000 1
Ga4 0.7364 0.7403 0.7382 1
Ga5 0.7441 0.2606 0.2579 1
Fe1 0.0000 0.5043 0.5000 1
Fe2 0.5000 0.0066 0.5000 1
Fe3 0.5000 0.5022 0.0000 1
```

Top 6 peaks for 10° ≤ 2θ ≤ 80°, low angle first:
d (Å)	intensity
5.831	36
3.381	62
3.352	66
2.073	26
2.063	100
2.046	24


(10)
Er2Ga10Os3: calculated powder diffractogram (Cu Kα (weighted mean of Kα1 and Kα2)), based on a crystal structure in OQMD, relaxed with PBE.

```
data_Er2Ga10Os3
_space_group_name_H-M_alt 'P 1'
_space_group_IT_number 1
_space_group_name_Hall 'P 1'
_cell_length_a 8.8865
_cell_length_b 8.8865
_cell_length_c 6.3739
_cell_angle_alpha 90.00
_cell_angle_beta 90.00
_cell_angle_gamma 90.00
loop_
_atom_site_label
_atom_site_fract_x
_atom_site_fract_y
_atom_site_fract_z
_atom_site_occupancy
Er1 0.1827 0.3173 0.0000 1
Er2 0.3173 0.8173 0.0000 1
Er3 0.6827 0.1827 0.0000 1
Er4 0.8173 0.6827 0.0000 1
Ga1 0.0000 0.5000 0.2836 1
Ga2 0.0000 0.5000 0.7164 1
Ga3 0.0613 0.7932 0.2926 1
Ga4 0.0613 0.7932 0.7074 1
Ga5 0.2068 0.0613 0.2926 1
Ga6 0.2068 0.0613 0.7074 1
Ga7 0.2932 0.5613 0.2926 1
Ga8 0.2932 0.5613 0.7074 1
Ga9 0.4387 0.2932 0.2926 1
Ga10 0.4387 0.2932 0.7074 1
Ga11 0.5000 0.0000 0.2836 1
Ga12 0.5000 0.0000 0.7164 1
Ga13 0.5613 0.7068 0.2926 1
Ga14 0.5613 0.7068 0.7074 1
Ga15 0.7068 0.4387 0.2926 1
Ga16 0.7068 0.4387 0.7074 1
Ga17 0.7932 0.9387 0.2926 1
Ga18 0.7932 0.9387 0.7074 1
Ga19 0.9387 0.2068 0.2926 1
Ga20 0.9387 0.2068 0.7074 1
Os1 0.0000 0.0000 0.0000 1
Os2 0.1786 0.3214 0.5000 1
Os3 0.3214 0.8214 0.5000 1
Os4 0.5000 0.5000 0.0000 1
Os5 0.6786 0.1786 0.5000 1
Os6 0.8214 0.6786 0.5000 1
```

Top 6 peaks for 10° ≤ 2θ ≤ 80°, low angle first:
d (Å)	intensity
3.974	55
2.486	100
2.237	43
2.155	91
2.108	94
2.095	28


(11)
MgZr: calculated powder diffractogram (Cu Kα (weighted mean of Kα1 and Kα2)), based on a crystal structure in OQMD, relaxed with PBE.

```
data_MgZr
_space_group_name_H-M_alt 'P 1'
_space_group_IT_number 1
_space_group_name_Hall 'P 1'
_cell_length_a 5.0948
_cell_length_b 6.5402
_cell_length_c 5.4454
_cell_angle_alpha 90.00
_cell_angle_beta 90.00
_cell_angle_gamma 90.00
loop_
_atom_site_label
_atom_site_fract_x
_atom_site_fract_y
_atom_site_fract_z
_atom_site_occupancy
Mg1 0.0000 0.0000 0.0000 1
Mg2 0.0000 0.2502 0.4924 1
Mg3 0.0000 0.7498 0.4924 1
Mg4 0.5000 0.0000 0.6356 1
Zr1 0.0000 0.5000 0.0027 1
Zr2 0.5000 0.2616 0.1258 1
Zr3 0.5000 0.5000 0.6394 1
Zr4 0.5000 0.7384 0.1258 1
```

Top 6 peaks for 10° ≤ 2θ ≤ 80°, low angle first:
d (Å)	intensity
6.540	33
2.803	19
2.723	20
2.547	33
2.456	100
2.401	32


(12)
HgTeH4O6: calculated powder diffractogram (Cu Kα (weighted mean of Kα1 and Kα2)), based on a crystal structure in OQMD, relaxed with PBE.

```
data_HgTeH4O6
_space_group_name_H-M_alt 'P 1'
_space_group_IT_number 1
_space_group_name_Hall 'P 1'
_cell_length_a 10.3608
_cell_length_b 6.0806
_cell_length_c 7.9125
_cell_angle_alpha 90.00
_cell_angle_beta 90.00
_cell_angle_gamma 90.00
loop_
_atom_site_label
_atom_site_fract_x
_atom_site_fract_y
_atom_site_fract_z
_atom_site_occupancy
Hg1 0.0098 0.1358 0.0000 1
Hg2 0.4902 0.6358 0.5000 1
Hg3 0.5098 0.3642 0.0000 1
Hg4 0.9902 0.8642 0.5000 1
Te1 0.1428 0.6407 0.9905 1
Te2 0.3572 0.1407 0.4905 1
Te3 0.6428 0.8593 0.9905 1
Te4 0.8572 0.3593 0.4905 1
H1 0.0861 0.4912 0.2786 1
H2 0.1361 0.2773 0.5811 1
H3 0.2158 0.8720 0.7509 1
H4 0.2412 0.9174 0.2755 1
H5 0.2588 0.4174 0.7755 1
H6 0.2842 0.3720 0.2509 1
H7 0.3639 0.7773 0.0811 1
H8 0.4139 0.9912 0.7786 1
H9 0.5861 0.0088 0.2786 1
H10 0.6361 0.2227 0.5811 1
H11 0.7158 0.6280 0.7509 1
H12 0.7412 0.5826 0.2755 1
H13 0.7588 0.0826 0.7755 1
H14 0.7842 0.1280 0.2509 1
H15 0.8639 0.7227 0.0811 1
H16 0.9139 0.5088 0.7786 1
O1 0.0131 0.4480 0.8985 1
O2 0.0136 0.8193 0.1006 1
O3 0.1257 0.8214 0.7885 1
O4 0.1538 0.4465 0.1873 1
O5 0.2184 0.9651 0.3951 1
O6 0.2268 0.3398 0.5853 1
O7 0.2732 0.8398 0.0853 1
O8 0.2816 0.4651 0.8951 1
O9 0.3462 0.9465 0.6873 1
O10 0.3743 0.3214 0.2885 1
O11 0.4864 0.3193 0.6006 1
O12 0.4869 0.9480 0.3985 1
O13 0.5131 0.0520 0.8985 1
O14 0.5136 0.6807 0.1006 1
O15 0.6257 0.6786 0.7885 1
O16 0.6538 0.0535 0.1873 1
O17 0.7184 0.5349 0.3951 1
O18 0.7268 0.1602 0.5853 1
O19 0.7732 0.6602 0.0853 1
O20 0.7816 0.0349 0.8951 1
O21 0.8462 0.5535 0.6873 1
O22 0.8743 0.1786 0.2885 1
O23 0.9864 0.1807 0.6006 1
O24 0.9869 0.5520 0.3985 1
```

Top 6 peaks for 10° ≤ 2θ ≤ 80°, low angle first:
d (Å)	intensity
4.334	50
3.955	100
3.529	78
2.737	89
2.282	46
1.956	45